[1]
Computed powder XRD pattern
Compound: Ni4CN4
Radiation: Cu Kα (λ = 1.5418 Å)
Structure: a cell relaxed with PBE

The 8 most intense peaks (2θ from 10° to 80°), by angle:
d (Å)  Position (°2θ)  intensity
7.773  11.38  100.0
7.596  11.65  67.1
2.909  30.74  36.9
2.504  35.87  29.5
2.435  36.91  64.3
2.349  38.31  44.0
2.237  40.32  34.6
1.798  50.77  39.8

```
36
Lattice="9.047 0.000 0.000 0.000 2.774 0.000 0.000 0.000 15.191" Properties=species:S:1:pos:R:3 pbc="T T T"
Ni 0.356 0.693 2.370
Ni 0.486 2.080 4.756
Ni 1.299 2.080 14.671
Ni 1.704 0.693 11.912
Ni 2.819 2.080 4.316
Ni 3.225 0.693 7.075
Ni 4.037 0.693 12.351
Ni 4.168 2.080 9.965
Ni 4.879 0.693 5.226
Ni 5.010 2.080 2.840
Ni 5.822 2.080 8.116
Ni 6.228 0.693 10.875
Ni 7.343 2.080 3.279
Ni 7.748 0.693 0.521
Ni 8.561 0.693 10.436
Ni 8.691 2.080 12.822
C 1.514 2.080 8.863
C 3.010 0.693 1.268
C 6.037 2.080 13.923
C 7.533 0.693 6.328
N 0.434 2.080 9.423
N 0.843 0.693 13.503
N 1.501 0.693 3.899
N 1.851 0.693 0.800
N 2.672 2.080 8.396
N 3.022 2.080 11.494
N 3.681 2.080 5.908
N 4.089 0.693 1.828
N 4.958 2.080 13.364
N 5.366 0.693 9.284
N 6.025 0.693 3.697
N 6.374 0.693 6.795
N 7.196 2.080 14.391
N 7.546 2.080 11.292
N 8.204 2.080 1.688
N 8.613 0.693 5.768
```

=====

[2]
Computed powder XRD pattern
Compound: BiPd3
Radiation: Cu Kα (λ = 1.5418 Å)
Structure: a cell relaxed with PBE

The 8 most intense peaks (2θ from 10° to 80°), by angle:
d (Å)  Position (°2θ)  intensity
2.461  36.52  24.0
2.454  36.63  38.0
2.396  37.54  50.7
2.248  40.10  41.4
2.243  40.21  100.0
1.989  45.62  32.6
1.352  69.52  27.9
1.252  76.01  25.3

```
16
Lattice="9.583 0.000 0.000 0.000 5.855 0.000 0.000 0.000 5.092" Properties=species:S:1:pos:R:3 pbc="T T T"
Bi 0.000 0.000 0.000
Bi 2.396 2.928 1.762
Bi 4.792 0.000 0.000
Bi 7.187 2.928 3.330
Pd 0.000 1.467 2.546
Pd 0.000 2.928 0.000
Pd 0.000 4.389 2.546
Pd 2.396 0.000 1.774
Pd 2.396 1.470 4.251
Pd 2.396 4.386 4.251
Pd 4.792 1.467 2.546
Pd 4.792 2.928 0.000
Pd 4.792 4.389 2.546
Pd 7.187 0.000 3.318
Pd 7.187 1.470 0.841
Pd 7.187 4.386 0.841
```

=====

[3]
Computed powder XRD pattern
Compound: Mg2Si
Radiation: Cu Kα (λ = 1.5418 Å)
Structure: a cell relaxed with PBE

The 8 most intense peaks (2θ from 10° to 80°), by angle:
d (Å)  Position (°2θ)  intensity
2.516  35.68  100.0
2.472  36.35  86.2
2.461  36.50  96.0
2.396  37.54  81.0
2.257  39.94  62.2
2.093  43.22  57.3
2.057  44.02  51.8
1.547  59.77  19.9

```
12
Lattice="6.035 0.000 0.000 -1.813 6.396 0.000 -2.539 -1.650 6.051" Properties=species:S:1:pos:R:3 pbc="T T T"
Mg 0.000 0.000 0.000
Mg -1.432 1.560 2.018
Mg -0.046 3.939 0.866
Mg -0.001 3.146 4.224
Mg 1.619 1.638 1.849
Mg 1.511 0.645 5.056
Mg 1.361 5.517 2.949
Mg 3.114 3.200 4.018
Si -1.325 0.527 4.699
Si 0.160 -0.725 2.821
Si 1.294 6.258 0.165
Si 3.138 4.085 1.306
```

=====

[4]
Computed powder XRD pattern
Compound: LaF3
Radiation: Cu Kα (λ = 1.5418 Å)
Structure: a cell relaxed with PBE

The 8 most intense peaks (2θ from 10° to 80°), by angle:
d (Å)  Position (°2θ)  intensity
3.630  24.52  30.8
3.583  24.85  32.1
3.238  27.54  100.0
2.096  43.16  54.1
1.995  45.46  56.9
1.809  50.44  28.8
1.760  51.97  18.1
1.445  64.48  18.6

```
24
Lattice="7.261 0.000 0.000 -3.630 6.288 0.000 0.000 0.000 7.165" Properties=species:S:1:pos:R:3 pbc="T T T"
La -1.193 2.066 1.791
La -2.437 4.222 5.374
La 2.386 0.000 1.791
La 1.193 2.066 5.374
La 4.875 0.000 5.374
La 2.437 4.222 1.791
F 0.000 0.000 0.000
F 0.000 0.000 3.583
F -1.248 2.161 4.176
F -1.248 2.161 6.572
F -2.382 4.127 0.594
F -2.382 4.127 2.989
F 0.000 4.192 1.791
F 0.000 4.192 5.374
F 2.496 0.000 4.176
F 2.496 0.000 6.572
F 1.248 2.161 0.594
F 1.248 2.161 2.989
F 4.765 0.000 0.594
F 4.765 0.000 2.989
F 2.382 4.127 4.176
F 2.382 4.127 6.572
F 3.630 2.096 1.791
F 3.630 2.096 5.374
```

=====

[5]
Computed powder XRD pattern
Compound: Sm4Ti4S4O9
Radiation: Cu Kα (λ = 1.5418 Å)
Structure: a cell relaxed with PBE

The 8 most intense peaks (2θ from 10° to 80°), by angle:
d (Å)  Position (°2θ)  intensity
6.399  13.84  62.9
4.534  19.58  55.1
3.278  27.21  56.6
3.121  28.60  100.0
2.941  30.39  61.6
2.826  31.66  94.2
2.573  34.87  67.2
2.375  37.89  67.6

```
21
Lattice="9.071 -1.852 0.000 9.071 1.852 0.000 -8.846 0.000 9.251" Properties=species:S:1:pos:R:3 pbc="T T T"
Sm 0.000 0.000 0.000
Sm -3.890 0.000 4.358
Sm 4.067 0.000 1.241
Sm 0.182 0.000 5.758
Ti -6.137 0.000 7.176
Ti -2.535 0.000 7.886
Ti 7.705 0.000 3.169
Ti 10.629 0.000 2.563
S 3.213 0.000 5.502
S 2.529 0.000 8.964
S 6.777 0.000 6.106
S 15.256 0.000 0.377
O -1.459 0.000 3.784
O -4.406 0.000 7.872
O 1.635 0.000 1.997
O -0.650 0.000 8.046
O 5.745 0.000 3.038
O 8.725 0.000 1.621
O 9.601 0.000 4.134
O 12.592 0.000 2.647
O 10.114 0.000 6.940
```